(1)
This entry pairs a crystal structure of Pm4AsCl5 with its theoretical PXRD pattern. Radiation: copper Kα. Structure: a crystal structure in Alexandria, relaxed with GGA-PBE.

Peak list (10 most intense, 10° ≤ 2θ ≤ 90°, most intense first)
| h k l | two_theta | intensity |
| --- | --- | --- |
| 1 1 -2 | 30.79 | 100 |
| 0 0 1 | 10.96 | 57 |
| 5 1 2 | 44.10 | 46 |
| 2 0 0 | 10.15 | 28 |
| 3 1 0 | 26.77 | 14 |
| 2 0 2 | 26.39 | 14 |
| 1 1 -1 | 24.52 | 12 |
| 6 2 0 | 55.16 | 12 |
| 0 2 0 | 44.59 | 12 |
| 2 0 -4 | 43.62 | 12 |

Structure:
abc: 17.9270 4.0639 8.2999
angles: 90.00 103.53 90.00
Space group C2/m (No. 12)
Asymmetric unit:
Pm  0.0002  0.0000  0.2334
Pm  0.1575  0.5000  0.0884
As  0.0000  0.5000  0.0000
Cl  0.0000  0.5000  0.5000
Cl  0.1660  0.0000  0.3294
Cl  0.1715  0.0000  0.8471

---

(2)
This entry pairs a crystal structure of Pm6As5Cl with its theoretical PXRD pattern. Radiation: copper Kα. Structure: a crystal structure in Alexandria, relaxed with GGA-PBE.

Peak list (10 most intense, 10° ≤ 2θ ≤ 90°, most intense first)
| h k l | two_theta | intensity |
| --- | --- | --- |
| 1 3 1 | 29.91 | 100 |
| 2 0 2 | 42.78 | 49 |
| 1 3 -3 | 42.85 | 25 |
| 0 0 2 | 25.82 | 23 |
| 3 3 3 | 70.51 | 21 |
| 4 0 0 | 53.06 | 19 |
| 2 6 2 | 62.14 | 12 |
| 4 6 -4 | 78.40 | 12 |
| 4 6 0 | 70.39 | 11 |
| 0 0 4 | 53.18 | 7 |

Structure:
abc: 7.3307 12.6748 7.3086
angles: 90.00 109.51 90.00
Space group C2/m (No. 12)
Asymmetric unit:
Pm  0.2397  0.0000  0.2574
Pm  0.2414  0.1730  0.7436
As  0.0000  0.0000  0.5000
As  0.0000  0.1671  0.0000
As  0.0000  0.3363  0.5000
Cl  0.0000  0.5000  0.0000

---

(3)
This entry pairs a crystal structure of Pm8As6Cl with its theoretical PXRD pattern. Radiation: copper Kα. Structure: a crystal structure in Alexandria, relaxed with GGA-PBE.

Peak list (10 most intense, 10° ≤ 2θ ≤ 90°, most intense first)
| h k l | two_theta | intensity |
| --- | --- | --- |
| 3 0 0 | 27.56 | 100 |
| 2 2 1 | 38.20 | 56 |
| 3 -1 1 | 31.90 | 55 |
| 2 -1 1 | 25.90 | 49 |
| 5 -2 1 | 45.78 | 31 |
| 3 0 2 | 50.51 | 21 |
| 0 0 2 | 41.44 | 20 |
| 6 0 0 | 56.94 | 17 |
| 5 -4 1 | 47.76 | 16 |
| 3 1 0 | 33.30 | 15 |

Structure:
abc: 11.2019 11.2019 4.3579
angles: 90.00 90.00 120.00
Space group P-3 (No. 147)
Asymmetric unit:
Pm  0.0365  0.3688  0.2444
Pm  0.3333  0.6667  0.7533
As  0.1425  0.6666  0.2547
Cl  0.0000  0.0000  0.0000

---

(4)
This entry pairs a crystal structure of Pr8As6Cl with its theoretical PXRD pattern. Radiation: copper Kα. Structure: a crystal structure in Alexandria, relaxed with GGA-PBE.

Peak list (10 most intense, 10° ≤ 2θ ≤ 90°, most intense first)
| h k l | two_theta | intensity |
| --- | --- | --- |
| 3 0 0 | 27.19 | 100 |
| 2 2 1 | 37.62 | 89 |
| 3 -1 1 | 31.41 | 86 |
| 2 -1 1 | 25.49 | 73 |
| 0 2 1 | 27.08 | 53 |
| 5 -2 1 | 45.07 | 49 |
| 0 3 2 | 49.66 | 33 |
| 0 0 2 | 40.72 | 32 |
| 6 0 0 | 56.06 | 26 |
| 5 -4 1 | 47.03 | 25 |

Structure:
abc: 11.3613 11.3613 4.4312
angles: 90.00 90.00 120.00
Space group P-3 (No. 147)
Asymmetric unit:
Pr  0.0365  0.3672  0.2443
Pr  0.3333  0.6667  0.7533
As  0.1416  0.6651  0.2547
Cl  0.0000  0.0000  0.0000